No. 1
Starting from DFT lattice parameters and positions (GGA-PBE), the X-ray powder pattern of Pu3H20Rh6 was computed for Cu Kα (λ = 1.5418 Å).

Structural model:
Unit cell a=6.9092 b=6.9092 c=6.9092 alpha=60.00 beta=60.00 gamma=60.00
Element x y z (fractional)
Pu: 0.0000 0.0000 0.0000
Pu: 0.2500 0.2500 0.2500
Pu: 0.7500 0.7500 0.7500
H: 0.0000 0.0000 0.3291
H: 0.0000 0.0000 0.6709
H: 0.0000 0.3291 0.0000
H: 0.0000 0.3291 0.6709
H: 0.0000 0.6709 0.0000
H: 0.0000 0.6709 0.3291
H: 0.1689 0.6104 0.6104
H: 0.3291 0.0000 0.0000
H: 0.3291 0.0000 0.6709
H: 0.3291 0.6709 0.0000
H: 0.3896 0.3896 0.3896
H: 0.3896 0.3896 0.8311
H: 0.3896 0.8311 0.3896
H: 0.6104 0.1689 0.6104
H: 0.6104 0.6104 0.1689
H: 0.6104 0.6104 0.6104
H: 0.6709 0.0000 0.0000
H: 0.6709 0.0000 0.3291
H: 0.6709 0.3291 0.0000
H: 0.8311 0.3896 0.3896
Rh: 0.2826 0.2826 0.7174
Rh: 0.2826 0.7174 0.2826
Rh: 0.2826 0.7174 0.7174
Rh: 0.7174 0.2826 0.2826
Rh: 0.7174 0.2826 0.7174
Rh: 0.7174 0.7174 0.2826

The 10 most intense peaks (15 to 90 degrees two-theta), in order of rising 2θ:
| d (Å) | intensity |
| --- | --- |
| 3.455 | 83 |
| 2.946 | 30 |
| 2.821 | 83 |
| 2.443 | 100 |
| 2.242 | 37 |
| 1.995 | 31 |
| 1.727 | 65 |
| 1.545 | 27 |
| 1.473 | 25 |
| 1.306 | 25 |

No. 2
Starting from DFT lattice parameters and positions (GGA-PBE), the X-ray powder pattern of SmPuH8Rh2 was computed for Cu Kα (λ = 1.5418 Å).

Structural model:
Unit cell a=6.8348 b=6.8348 c=6.8348 alpha=39.33 beta=39.33 gamma=39.33
Element x y z (fractional)
Sm: 0.0000 0.0000 0.0000
Pu: 0.5000 0.5000 0.5000
H: 0.0836 0.5435 0.5435
H: 0.1357 0.1357 0.1357
H: 0.4565 0.4565 0.9164
H: 0.4565 0.9164 0.4565
H: 0.5435 0.0836 0.5435
H: 0.5435 0.5435 0.0836
H: 0.8643 0.8643 0.8643
H: 0.9164 0.4565 0.4565
Rh: 0.2283 0.2283 0.2283
Rh: 0.7717 0.7717 0.7717

The 10 most intense peaks (15 to 90 degrees two-theta), in order of rising 2θ:
| d (Å) | intensity |
| --- | --- |
| 3.671 | 15 |
| 3.045 | 100 |
| 2.300 | 52 |
| 2.032 | 24 |
| 1.857 | 9 |
| 1.835 | 24 |
| 1.523 | 9 |
| 1.435 | 21 |
| 1.328 | 9 |
| 1.270 | 11 |

No. 3
Starting from DFT lattice parameters and positions (GGA-PBE), the X-ray powder pattern of PuHRu was computed for Cu Kα (λ = 1.5418 Å).

Structural model:
Unit cell a=3.0316 b=8.8869 c=6.0550 alpha=90.00 beta=90.00 gamma=90.00
Element x y z (fractional)
Pu: 0.0000 0.2360 0.2500
Pu: 0.0000 0.7640 0.7500
Pu: 0.5000 0.2640 0.7500
Pu: 0.5000 0.7360 0.2500
H: 0.0000 0.0271 0.7500
H: 0.0000 0.9729 0.2500
H: 0.5000 0.4729 0.2500
H: 0.5000 0.5271 0.7500
Ru: 0.0000 0.5000 0.0000
Ru: 0.0000 0.5000 0.5000
Ru: 0.5000 0.0000 0.0000
Ru: 0.5000 0.0000 0.5000

The 10 most intense peaks (15 to 90 degrees two-theta), in order of rising 2θ:
| d (Å) | intensity |
| --- | --- |
| 4.443 | 26 |
| 2.593 | 100 |
| 2.502 | 92 |
| 2.222 | 31 |
| 2.083 | 19 |
| 2.000 | 45 |
| 1.651 | 27 |
| 1.515 | 21 |
| 1.296 | 24 |
| 1.252 | 20 |

No. 4
Starting from DFT lattice parameters and positions (GGA-PBE), the X-ray powder pattern of Pu4HS5 was computed for Cu Kα (λ = 1.5418 Å).

Structural model:
Unit cell a=9.4408 b=9.4408 c=9.4408 alpha=156.32 beta=135.65 gamma=50.88
Element x y z (fractional)
Pu: 0.2198 0.2198 0.0000
Pu: 0.2319 0.5000 0.7319
Pu: 0.7681 0.5000 0.2681
Pu: 0.7802 0.7802 0.0000
H: 0.0000 0.0000 0.0000
S: 0.0773 0.3380 0.7393
S: 0.4013 0.6620 0.7393
S: 0.5000 0.0000 0.5000
S: 0.5987 0.3380 0.2607
S: 0.9227 0.6620 0.2607

The 10 most intense peaks (15 to 90 degrees two-theta), in order of rising 2θ:
| d (Å) | intensity |
| --- | --- |
| 4.263 | 86 |
| 3.777 | 39 |
| 3.288 | 100 |
| 3.201 | 44 |
| 3.161 | 77 |
| 2.592 | 72 |
| 2.222 | 31 |
| 2.079 | 77 |
| 2.062 | 43 |
| 1.669 | 31 |

No. 5
Starting from DFT lattice parameters and positions (GGA-PBE), the X-ray powder pattern of Pu2SbH2 was computed for Cu Kα (λ = 1.5418 Å).

Structural model:
Unit cell a=7.7046 b=6.5553 c=5.8013 alpha=76.88 beta=55.96 gamma=47.16
Element x y z (fractional)
Pu: 0.0507 0.6993 0.0507
Pu: 0.3007 0.9493 0.3007
Pu: 0.6993 0.0507 0.6993
Pu: 0.9493 0.3007 0.9493
Sb: 0.3750 0.3750 0.3750
Sb: 0.6250 0.6250 0.6250
H: 0.0053 0.0053 0.2447
H: 0.2447 0.2447 0.0053
H: 0.7553 0.7553 0.9947
H: 0.9947 0.9947 0.7553

The 10 most intense peaks (15 to 90 degrees two-theta), in order of rising 2θ:
| d (Å) | intensity |
| --- | --- |
| 2.930 | 57 |
| 2.815 | 100 |
| 2.627 | 86 |
| 2.329 | 60 |
| 1.823 | 29 |
| 1.672 | 22 |
| 1.627 | 21 |
| 1.604 | 18 |
| 1.450 | 27 |
| 1.300 | 18 |

No. 6
Starting from DFT lattice parameters and positions (GGA-PBE), the X-ray powder pattern of Pu5Sb2H was computed for Cu Kα (λ = 1.5418 Å).

Structural model:
Unit cell a=6.6716 b=6.6716 c=9.0818 alpha=90.00 beta=90.00 gamma=90.00
Element x y z (fractional)
Pu: 0.0000 0.0000 0.0000
Pu: 0.2482 0.2482 0.2572
Pu: 0.2482 0.7518 0.2572
Pu: 0.2518 0.2518 0.7572
Pu: 0.2518 0.7482 0.7572
Pu: 0.5000 0.5000 0.5000
Pu: 0.7482 0.2518 0.7572
Pu: 0.7482 0.7482 0.7572
Pu: 0.7518 0.2482 0.2572
Pu: 0.7518 0.7518 0.2572
Sb: 0.0000 0.5000 0.0069
Sb: 0.0000 0.5000 0.5069
Sb: 0.5000 0.0000 0.0069
Sb: 0.5000 0.0000 0.5069
H: 0.0000 0.0000 0.7319
H: 0.5000 0.5000 0.2319

The 10 most intense peaks (15 to 90 degrees two-theta), in order of rising 2θ:
| d (Å) | intensity |
| --- | --- |
| 5.377 | 15 |
| 4.541 | 10 |
| 2.688 | 100 |
| 2.359 | 35 |
| 2.270 | 16 |
| 1.668 | 12 |
| 1.636 | 23 |
| 1.417 | 29 |
| 1.378 | 13 |
| 1.344 | 12 |

No. 7
Starting from DFT lattice parameters and positions (GGA-PBE), the X-ray powder pattern of Pu6Sb3H was computed for Cu Kα (λ = 1.5418 Å).

Structural model:
Unit cell a=7.6881 b=7.6881 c=7.6130 alpha=90.00 beta=90.00 gamma=79.73
Element x y z (fractional)
Pu: 0.1648 0.8352 0.5298
Pu: 0.1648 0.8352 0.9702
Pu: 0.1805 0.5085 0.0391
Pu: 0.1805 0.5085 0.4609
Pu: 0.4915 0.8195 0.0391
Pu: 0.4915 0.8195 0.4609
Pu: 0.5085 0.1805 0.5391
Pu: 0.5085 0.1805 0.9609
Pu: 0.8195 0.4915 0.5391
Pu: 0.8195 0.4915 0.9609
Pu: 0.8352 0.1648 0.0298
Pu: 0.8352 0.1648 0.4702
Sb: 0.1366 0.2076 0.7500
Sb: 0.2076 0.1366 0.2500
Sb: 0.4516 0.5484 0.7500
Sb: 0.5484 0.4516 0.2500
Sb: 0.7924 0.8634 0.7500
Sb: 0.8634 0.7924 0.2500
H: 0.2655 0.7345 0.2500
H: 0.7345 0.2655 0.7500

The 10 most intense peaks (15 to 90 degrees two-theta), in order of rising 2θ:
| d (Å) | intensity |
| --- | --- |
| 3.806 | 42 |
| 3.294 | 19 |
| 3.012 | 50 |
| 2.636 | 82 |
| 2.522 | 100 |
| 2.256 | 24 |
| 2.102 | 43 |
| 2.084 | 19 |
| 1.967 | 26 |
| 1.519 | 20 |

No. 8
Starting from DFT lattice parameters and positions (GGA-PBE), the X-ray powder pattern of Pu3Sb2H was computed for Cu Kα (λ = 1.5418 Å).

Structural model:
Unit cell a=6.1904 b=10.3864 c=4.6311 alpha=90.00 beta=90.00 gamma=90.00
Element x y z (fractional)
Pu: 0.0000 0.0000 0.0000
Pu: 0.1391 0.3781 0.0000
Pu: 0.3609 0.8781 0.5000
Pu: 0.5000 0.5000 0.5000
Pu: 0.6391 0.1219 0.5000
Pu: 0.8609 0.6219 0.0000
Sb: 0.1519 0.1783 0.5000
Sb: 0.3481 0.6783 0.0000
Sb: 0.6519 0.3217 0.0000
Sb: 0.8481 0.8217 0.5000
H: 0.0000 0.5000 0.5000
H: 0.5000 0.0000 0.0000

The 10 most intense peaks (15 to 90 degrees two-theta), in order of rising 2θ:
| d (Å) | intensity |
| --- | --- |
| 3.708 | 52 |
| 3.019 | 62 |
| 2.966 | 54 |
| 2.773 | 100 |
| 2.531 | 25 |
| 2.498 | 27 |
| 2.316 | 44 |
| 2.306 | 89 |
| 1.826 | 30 |
| 1.525 | 20 |